[1]
Computed X-ray powder pattern
Compound: Yb6Te
Radiation: Cu Kα
Structure: a GGA-PBE-relaxed structure

Largest 8 diffraction maxima, by intensity, 2θ = 15–90°:
- 2θ = 22.2°, I = 100, (2 1 1)
- 2θ = 34.2°, I = 67, (3 2 1)
- 2θ = 31.6°, I = 51, (2 2 2)
- 2θ = 36.6°, I = 42, (4 0 0)
- 2θ = 18.1°, I = 40, (2 0 0)
- 2θ = 52.7°, I = 30, (4 4 0)
- 2θ = 57.9°, I = 22, (6 1 1)
- 2θ = 62.8°, I = 22, (6 2 2)

Structure:
```
data_Yb6Te
_chemical_formula_sum 'Yb12 Te2'
_cell_length_a 9.820
_cell_length_b 9.820
_cell_length_c 9.820
_cell_angle_alpha 90.00
_cell_angle_beta 90.00
_cell_angle_gamma 90.00
_symmetry_space_group_name_H-M 'I m -3 m'
_symmetry_Int_Tables_number 229
_symmetry_space_group_name_Hall '-I 4 2 3'
loop_
_atom_site_label
_atom_site_type_symbol
_atom_site_fract_x
_atom_site_fract_y
_atom_site_fract_z
Yb1 Yb 0.000 0.250 0.500
Te1 Te 0.000 0.000 0.000
```

[2]
Computed X-ray powder pattern
Compound: Zn2Te
Radiation: Cu Kα
Structure: a GGA-PBE-relaxed structure

Largest 8 diffraction maxima, by intensity, 2θ = 15–90°:
- 2θ = 24.1°, I = 100, (2 0 -1)
- 2θ = 41.5°, I = 42, (0 2 0)
- 2θ = 42.1°, I = 26, (1 1 2)
- 2θ = 29.4°, I = 16, (0 0 2)
- 2θ = 48.6°, I = 15, (2 2 -1)
- 2θ = 46.7°, I = 13, (1 1 -3)
- 2θ = 42.4°, I = 13, (2 0 -3)
- 2θ = 30.7°, I = 12, (1 1 1)

Structure:
```
data_Zn2Te
_chemical_formula_sum 'Zn4 Te2'
_cell_length_a 7.535
_cell_length_b 4.351
_cell_length_c 6.550
_cell_angle_alpha 90.00
_cell_angle_beta 112.06
_cell_angle_gamma 90.00
_symmetry_space_group_name_H-M 'C 1 m 1'
_symmetry_Int_Tables_number 8
_symmetry_space_group_name_Hall 'C -2y'
loop_
_atom_site_label
_atom_site_type_symbol
_atom_site_fract_x
_atom_site_fract_y
_atom_site_fract_z
Zn1 Zn 0.000 0.000 0.000
Zn2 Zn 0.134 0.000 0.398
Te1 Te 0.280 0.000 0.835
```

[3]
Computed X-ray powder pattern
Compound: ZnTe2
Radiation: Cu Kα
Structure: a GGA-PBE-relaxed structure

Largest 8 diffraction maxima, by intensity, 2θ = 15–90°:
- 2θ = 28.5°, I = 100, (1 1 1)
- 2θ = 43.4°, I = 73, (1 1 3)
- 2θ = 37.2°, I = 53, (2 0 0)
- 2θ = 22.5°, I = 40, (0 0 2)
- 2θ = 71.4°, I = 31, (3 1 3)
- 2θ = 43.9°, I = 27, (2 0 2)
- 2θ = 61.9°, I = 22, (3 1 1)
- 2θ = 53.7°, I = 18, (2 2 0)

Structure:
```
data_ZnTe2
_chemical_formula_sum 'Zn2 Te4'
_cell_length_a 4.831
_cell_length_b 4.831
_cell_length_c 7.904
_cell_angle_alpha 90.00
_cell_angle_beta 90.00
_cell_angle_gamma 90.00
_symmetry_space_group_name_H-M 'P 4/n m m'
_symmetry_Int_Tables_number 129
loop_
_symmetry_equiv_pos_as_xyz
'x,y,z'
'-x,-y,-z'
'-y+1/2,x,z'
'y+1/2,-x,-z'
'-x+1/2,-y+1/2,z'
'x+1/2,y+1/2,-z'
'y,-x+1/2,z'
'-y,x+1/2,-z'
'x+1/2,-y,-z'
'-x+1/2,y,z'
'-y,-x,-z'
'y,x,z'
'-x,y+1/2,-z'
'x,-y+1/2,z'
'y+1/2,x+1/2,-z'
'-y+1/2,-x+1/2,z'
loop_
_atom_site_label
_atom_site_type_symbol
_atom_site_fract_x
_atom_site_fract_y
_atom_site_fract_z
Zn1 Zn 0.250 0.250 0.178
Te1 Te 0.250 0.250 0.504
Te2 Te 0.250 0.750 0.000
```

[4]
Computed X-ray powder pattern
Compound: Zn2Te
Radiation: Cu Kα
Structure: a GGA-PBE-relaxed structure

Largest 8 diffraction maxima, by intensity, 2θ = 15–90°:
- 2θ = 41.8°, I = 100, (1 5 1)
- 2θ = 35.3°, I = 67, (1 3 1)
- 2θ = 27.6°, I = 55, (1 3 0)
- 2θ = 24.2°, I = 37, (0 2 1)
- 2θ = 30.8°, I = 30, (0 4 1)
- 2θ = 44.0°, I = 29, (0 0 2)
- 2θ = 45.2°, I = 27, (2 0 0)
- 2θ = 44.3°, I = 21, (0 8 0)

Structure:
```
data_Zn2Te
_chemical_formula_sum 'Zn8 Te4'
_cell_length_a 4.015
_cell_length_b 16.367
_cell_length_c 4.114
_cell_angle_alpha 90.00
_cell_angle_beta 90.00
_cell_angle_gamma 90.00
_symmetry_space_group_name_H-M 'C m c m'
_symmetry_Int_Tables_number 63
_symmetry_space_group_name_Hall '-C 2c 2'
loop_
_atom_site_label
_atom_site_type_symbol
_atom_site_fract_x
_atom_site_fract_y
_atom_site_fract_z
Zn1 Zn 0.000 0.053 0.250
Zn2 Zn 0.000 0.436 0.250
Te1 Te 0.000 0.327 0.750
```

[5]
Computed X-ray powder pattern
Compound: Zn7Te5
Radiation: Cu Kα
Structure: a GGA-PBE-relaxed structure

Largest 8 diffraction maxima, by intensity, 2θ = 15–90°:
- 2θ = 28.3°, I = 100, (2 0 2)
- 2θ = 36.8°, I = 72, (2 2 2)
- 2θ = 32.8°, I = 48, (2 2 0)
- 2θ = 47.1°, I = 33, (4 0 0)
- 2θ = 35.8°, I = 33, (2 1 3)
- 2θ = 35.9°, I = 31, (3 0 1)
- 2θ = 40.3°, I = 30, (2 0 4)
- 2θ = 16.1°, I = 29, (0 0 2)

Structure:
```
data_Zn7Te5
_chemical_formula_sum 'Zn14 Te10'
_cell_length_a 7.712
_cell_length_b 7.712
_cell_length_c 10.978
_cell_angle_alpha 90.00
_cell_angle_beta 90.00
_cell_angle_gamma 90.00
_symmetry_space_group_name_H-M 'I 4 m m'
_symmetry_Int_Tables_number 107
_symmetry_space_group_name_Hall 'I 4 -2'
loop_
_atom_site_label
_atom_site_type_symbol
_atom_site_fract_x
_atom_site_fract_y
_atom_site_fract_z
Zn1 Zn 0.000 0.000 0.000
Zn2 Zn 0.000 0.328 0.826
Zn3 Zn 0.000 0.500 0.113
Te1 Te 0.000 0.000 0.717
Te2 Te 0.247 0.247 0.505
```

[6]
Computed X-ray powder pattern
Compound: Zn2Te
Radiation: Cu Kα
Structure: a GGA-PBE-relaxed structure

Largest 8 diffraction maxima, by intensity, 2θ = 15–90°:
- 2θ = 33.7°, I = 100, (1 1 0)
- 2θ = 48.1°, I = 70, (1 1 3)
- 2θ = 33.4°, I = 33, (0 0 3)
- 2θ = 70.7°, I = 21, (3 0 3)
- 2θ = 60.3°, I = 18, (3 0 0)
- 2θ = 80.6°, I = 15, (2 2 3)
- 2θ = 80.1°, I = 14, (1 1 6)
- 2θ = 70.9°, I = 11, (2 2 0)

Structure:
```
data_Zn2Te
_chemical_formula_sum 'Zn6 Te3'
_cell_length_a 5.3198
_cell_length_b 5.3198
_cell_length_c 8.0565
_cell_angle_alpha 90.00
_cell_angle_beta 90.00
_cell_angle_gamma 120.00
_symmetry_space_group_name_H-M 'R -3 m'
_symmetry_Int_Tables_number 166
_symmetry_space_group_name_Hall '-R 3 2"'
loop_
_atom_site_label
_atom_site_type_symbol
_atom_site_fract_x
_atom_site_fract_y
_atom_site_fract_z
Zn1 Zn 0.0000 0.0000 0.1548
Te1 Te 0.0000 0.0000 0.5000
```

[7]
Computed X-ray powder pattern
Compound: Zn4Te3
Radiation: Cu Kα
Structure: a GGA-PBE-relaxed structure

Largest 8 diffraction maxima, by intensity, 2θ = 15–90°:
- 2θ = 31.2°, I = 100, (2 0 0)
- 2θ = 44.7°, I = 73, (2 2 0)
- 2θ = 73.9°, I = 31, (4 2 0)
- 2θ = 55.5°, I = 25, (2 2 2)
- 2θ = 82.4°, I = 23, (4 2 2)
- 2θ = 15.5°, I = 20, (1 0 0)
- 2θ = 21.9°, I = 17, (1 1 0)
- 2θ = 65.1°, I = 11, (4 0 0)

Structure:
```
data_Zn4Te3
_chemical_formula_sum 'Zn4 Te3'
_cell_length_a 5.733
_cell_length_b 5.733
_cell_length_c 5.733
_cell_angle_alpha 90.00
_cell_angle_beta 90.00
_cell_angle_gamma 90.00
_symmetry_space_group_name_H-M 'P m -3 m'
_symmetry_Int_Tables_number 221
_symmetry_space_group_name_Hall '-P 4 2 3'
loop_
_atom_site_label
_atom_site_type_symbol
_atom_site_fract_x
_atom_site_fract_y
_atom_site_fract_z
Zn1 Zn 0.000 0.000 0.000
Zn2 Zn 0.000 0.500 0.500
Te1 Te 0.000 0.000 0.500
```

[8]
Computed X-ray powder pattern
Compound: Zn5Te7
Radiation: Cu Kα
Structure: a GGA-PBE-relaxed structure

Largest 8 diffraction maxima, by intensity, 2θ = 15–90°:
- 2θ = 35.2°, I = 100, (2 2 2)
- 2θ = 26.2°, I = 62, (2 1 1)
- 2θ = 32.5°, I = 61, (1 1 4)
- 2θ = 34.9°, I = 43, (3 0 1)
- 2θ = 46.0°, I = 39, (4 0 0)
- 2θ = 44.0°, I = 34, (2 1 5)
- 2θ = 15.9°, I = 34, (1 1 0)
- 2θ = 26.6°, I = 34, (2 0 2)

Structure:
```
data_Zn5Te7
_chemical_formula_sum 'Zn10 Te14'
_cell_length_a 7.887
_cell_length_b 7.887
_cell_length_c 12.675
_cell_angle_alpha 90.00
_cell_angle_beta 90.00
_cell_angle_gamma 90.00
_symmetry_space_group_name_H-M 'I 4 m m'
_symmetry_Int_Tables_number 107
_symmetry_space_group_name_Hall 'I 4 -2'
loop_
_atom_site_label
_atom_site_type_symbol
_atom_site_fract_x
_atom_site_fract_y
_atom_site_fract_z
Zn1 Zn 0.000 0.000 0.000
Zn2 Zn 0.245 0.245 0.758
Te1 Te 0.000 0.000 0.790
Te2 Te 0.000 0.313 0.108
Te3 Te 0.000 0.500 0.368
```

[9]
Computed X-ray powder pattern
Compound: Zn3Te5
Radiation: Cu Kα
Structure: a GGA-PBE-relaxed structure

Largest 8 diffraction maxima, by intensity, 2θ = 15–90°:
- 2θ = 39.1°, I = 100, (2 4 -3)
- 2θ = 27.8°, I = 50, (2 2 0)
- 2θ = 25.1°, I = 44, (0 4 1)
- 2θ = 22.9°, I = 42, (2 0 -1)
- 2θ = 33.9°, I = 32, (0 2 3)
- 2θ = 21.1°, I = 27, (0 0 2)
- 2θ = 31.2°, I = 26, (0 4 2)
- 2θ = 54.9°, I = 23, (2 4 3)

Structure:
```
data_Zn3Te5
_chemical_formula_sum 'Zn12 Te20'
_cell_length_a 7.757
_cell_length_b 15.627
_cell_length_c 9.279
_cell_angle_alpha 90.00
_cell_angle_beta 114.66
_cell_angle_gamma 90.00
_symmetry_space_group_name_H-M 'C 1 m 1'
_symmetry_Int_Tables_number 8
_symmetry_space_group_name_Hall 'C -2y'
loop_
_atom_site_label
_atom_site_type_symbol
_atom_site_fract_x
_atom_site_fract_y
_atom_site_fract_z
Zn1 Zn 0.000 0.000 0.000
Zn2 Zn 0.124 0.250 0.747
Zn3 Zn 0.125 0.394 0.248
Zn4 Zn 0.250 0.000 0.496
Te1 Te 0.042 0.247 0.083
Te2 Te 0.207 0.246 0.413
Te3 Te 0.360 0.000 0.248
Te4 Te 0.368 0.123 0.734
Te5 Te 0.382 0.377 0.762
Te6 Te 0.390 0.500 0.249
```

[10]
Computed X-ray powder pattern
Compound: ZnTe3
Radiation: Cu Kα
Structure: a GGA-PBE-relaxed structure

Largest 8 diffraction maxima, by intensity, 2θ = 15–90°:
- 2θ = 29.1°, I = 100, (2 0 0)
- 2θ = 41.6°, I = 75, (2 2 0)
- 2θ = 68.4°, I = 34, (4 2 0)
- 2θ = 51.6°, I = 27, (2 2 2)
- 2θ = 76.0°, I = 25, (4 2 2)
- 2θ = 60.4°, I = 12, (4 0 0)
- 2θ = 20.5°, I = 7, (1 1 0)
- 2θ = 35.9°, I = 3, (2 1 1)

Structure:
```
data_ZnTe3
_chemical_formula_sum 'Zn2 Te6'
_cell_length_a 6.134
_cell_length_b 6.134
_cell_length_c 6.134
_cell_angle_alpha 90.00
_cell_angle_beta 90.00
_cell_angle_gamma 90.00
_symmetry_space_group_name_H-M 'I m -3 m'
_symmetry_Int_Tables_number 229
_symmetry_space_group_name_Hall '-I 4 2 3'
loop_
_atom_site_label
_atom_site_type_symbol
_atom_site_fract_x
_atom_site_fract_y
_atom_site_fract_z
Zn1 Zn 0.000 0.000 0.000
Te1 Te 0.000 0.000 0.500
```

[11]
Computed X-ray powder pattern
Compound: Zn2Te
Radiation: Cu Kα
Structure: a GGA-PBE-relaxed structure

Largest 8 diffraction maxima, by intensity, 2θ = 15–90°:
- 2θ = 31.2°, I = 100, (1 1 2)
- 2θ = 38.5°, I = 69, (2 0 2)
- 2θ = 36.9°, I = 56, (2 1 1)
- 2θ = 50.5°, I = 46, (3 1 0)
- 2θ = 22.0°, I = 30, (1 1 0)
- 2θ = 69.6°, I = 28, (3 1 4)
- 2θ = 74.2°, I = 27, (3 3 2)
- 2θ = 49.0°, I = 24, (2 1 3)

Structure:
```
data_Zn2Te
_chemical_formula_sum 'Zn8 Te4'
_cell_length_a 5.710
_cell_length_b 5.710
_cell_length_c 8.136
_cell_angle_alpha 90.00
_cell_angle_beta 90.00
_cell_angle_gamma 90.00
_symmetry_space_group_name_H-M 'I 4/m c m'
_symmetry_Int_Tables_number 140
_symmetry_space_group_name_Hall '-I 4 2c'
loop_
_atom_site_label
_atom_site_type_symbol
_atom_site_fract_x
_atom_site_fract_y
_atom_site_fract_z
Zn1 Zn 0.159 0.341 0.000
Te1 Te 0.000 0.000 0.250
```

[12]
Computed X-ray powder pattern
Compound: Zn4Te3
Radiation: Cu Kα
Structure: a GGA-PBE-relaxed structure

Largest 8 diffraction maxima, by intensity, 2θ = 15–90°:
- 2θ = 25.9°, I = 100, (1 1 1)
- 2θ = 42.9°, I = 72, (2 2 0)
- 2θ = 50.8°, I = 44, (3 1 1)
- 2θ = 78.6°, I = 21, (4 2 2)
- 2θ = 33.6°, I = 17, (2 1 0)
- 2θ = 68.6°, I = 17, (3 3 1)
- 2θ = 21.1°, I = 16, (1 1 0)
- 2θ = 84.4°, I = 12, (5 1 1)

Structure:
```
data_Zn4Te3
_chemical_formula_sum 'Zn4 Te3'
_cell_length_a 5.961
_cell_length_b 5.961
_cell_length_c 5.961
_cell_angle_alpha 90.00
_cell_angle_beta 90.00
_cell_angle_gamma 90.00
_symmetry_space_group_name_H-M 'P -4 3 m'
_symmetry_Int_Tables_number 215
_symmetry_space_group_name_Hall 'P -4 2 3'
loop_
_atom_site_label
_atom_site_type_symbol
_atom_site_fract_x
_atom_site_fract_y
_atom_site_fract_z
Zn1 Zn 0.231 0.231 0.769
Te1 Te 0.000 0.500 0.500
```